For Ca2MgOs, a structure optimized by DFT (PBE) gives the computed PXRD pattern in this record (Cu Kα).
Kinematic intensities with the Lorentz-polarization factor, no thermal factor.

The 10 most intense peaks (5° ≤ 2θ ≤ 70°), in order of falling intensity:
hkl 1 1 2, 35.0 deg, d 2.561, I 1000
hkl 0 1 1, 18.8 deg, d 4.712, I 783
hkl 0 0 2, 16.1 deg, d 5.491, I 614
hkl 0 2 0, 34.4 deg, d 2.609, I 291
hkl 1 1 4, 45.5 deg, d 1.992, I 253
hkl 1 3 2, 62.0 deg, d 1.497, I 253
hkl 1 0 3, 35.6 deg, d 2.522, I 237
hkl 0 0 4, 32.6 deg, d 2.746, I 230
hkl 1 1 0, 30.9 deg, d 2.895, I 224
hkl 1 0 1, 26.9 deg, d 3.317, I 192

Cell and atoms:
```
data_Ca2MgOs
_cell_length_a 3.479
_cell_length_b 5.217
_cell_length_c 10.983
_cell_angle_alpha 90.00
_cell_angle_beta 90.00
_cell_angle_gamma 90.00
_space_group_name_H-M_alt 'I m m 2'
_space_group_IT_number 44
_space_group_name_Hall 'I 2 -2'
loop_
_atom_site_label
_atom_site_type_symbol
_atom_site_fract_x
_atom_site_fract_y
_atom_site_fract_z
_atom_site_occupancy
Ca1 Ca 0.000 0.000 0.000 1
Ca2 Ca 0.000 0.500 0.196 1
Mg1 Mg 0.000 0.500 0.801 1
Os1 Os 0.000 0.000 0.482 1
```